For La2PmDy5Tm, a cell relaxed with PBE gives the simulated X-ray diffraction stick pattern in this record (Cu Ka).
Peak positions follow from Bragg's law for the DFT cell and can differ from measured ones.

Cell and atoms:
Unit cell a=8.661 b=8.661 c=15.875 alpha=90.00 beta=90.00 gamma=90.00
Space group I4/mcm (No. 140)
One atom of each set of equivalent atoms:
1 La 0.118 0.382 0.000
2 Pm 0.000 0.000 0.250
3 Dy 0.000 0.000 0.000
4 Dy 0.217 0.283 0.358
5 Tm 0.000 0.500 0.250

Top 10 peaks for 2θ from 15° to 90°, low angle first:
d_spacing, Rel. int.
3.125, 38
3.062, 54
2.926, 100
2.589, 11
2.375, 13
2.257, 14
1.984, 11
1.740, 27
1.665, 12
1.562, 10

=====

For Pr2HoTe4, a cell relaxed with PBE gives the simulated X-ray diffraction stick pattern in this record (Cu Ka).
Peak positions follow from Bragg's law for the DFT cell and can differ from measured ones.

Cell and atoms:
Unit cell a=8.895 b=8.918 c=12.384 alpha=90.00 beta=90.00 gamma=90.00
Space group Imma (No. 74)
One atom of each set of equivalent atoms:
1 Pr 0.000 0.000 0.000
2 Pr 0.250 0.250 0.250
3 Ho 0.250 0.250 0.750
4 Te 0.000 0.009 0.739
5 Te 0.242 0.250 0.505

Top 10 peaks for 2θ from 15° to 90°, low angle first:
d_spacing, Rel. int.
3.149, 100
3.096, 47
2.229, 19
2.224, 19
2.208, 73
1.808, 39
1.574, 13
1.403, 17
1.389, 15
1.281, 12

=====

For Ca2Cu17Si3, a cell relaxed with PBE gives the simulated X-ray diffraction stick pattern in this record (Cu Ka).
Peak positions follow from Bragg's law for the DFT cell and can differ from measured ones.

Cell and atoms:
Unit cell a=9.4085 b=9.4085 c=13.0598 alpha=90.00 beta=90.00 gamma=120.00
Space group R-3m (No. 166, hexagonal axes)
One atom of each set of equivalent atoms:
1 Ca 0.0000 0.0000 0.1718
2 Cu 0.0000 0.0000 0.4071
3 Cu 0.0000 0.2590 0.5000
4 Cu 0.0000 0.5000 0.0000
5 Cu 0.0161 0.5081 0.3275
6 Si 0.0000 0.5000 0.5000

Top 10 peaks for 2θ from 15° to 90°, low angle first:
d_spacing, Rel. int.
4.704, 26
2.352, 100
2.304, 56
2.177, 49
2.069, 82
2.013, 31
1.992, 31
1.975, 36
1.597, 30
1.176, 25

=====

For Fe3BiAs, a cell relaxed with PBE gives the simulated X-ray diffraction stick pattern in this record (Cu Ka).
Peak positions follow from Bragg's law for the DFT cell and can differ from measured ones.

Cell and atoms:
Unit cell a=4.483 b=4.483 c=4.483 alpha=90.00 beta=90.00 gamma=90.00
Space group Pm-3m (No. 221)
One atom of each set of equivalent atoms:
1 Fe 0.000 0.000 0.500
2 Bi 0.500 0.500 0.500
3 As 0.000 0.000 0.000

Top 10 peaks for 2θ from 15° to 90°, low angle first:
d_spacing, Rel. int.
4.483, 10
3.170, 100
2.588, 73
2.241, 82
1.830, 44
1.585, 54
1.418, 20
1.352, 28
1.294, 18
1.198, 24

=====

For RbBeCoOs2, a cell relaxed with PBE gives the simulated X-ray diffraction stick pattern in this record (Cu Ka).
Peak positions follow from Bragg's law for the DFT cell and can differ from measured ones.

Cell and atoms:
Unit cell a=4.561 b=4.561 c=4.502 alpha=90.00 beta=90.00 gamma=90.00
Space group P4/mmm (No. 123)
One atom of each set of equivalent atoms:
1 Rb 0.000 0.000 0.000
2 Be 0.500 0.500 0.000
3 Co 0.500 0.500 0.500
4 Os 0.000 0.500 0.500

Top 10 peaks for 2θ from 15° to 90°, low angle first:
d_spacing, Rel. int.
4.502, 70
3.225, 25
3.204, 22
2.622, 100
2.281, 58
2.251, 28
2.034, 35
1.602, 38
1.374, 28
1.311, 20

=====

For Pm3ZnGa2Cu6, a cell relaxed with PBE gives the simulated X-ray diffraction stick pattern in this record (Cu Ka).
Peak positions follow from Bragg's law for the DFT cell and can differ from measured ones.

Cell and atoms:
Unit cell a=5.6101 b=5.6101 c=8.3490 alpha=90.00 beta=90.00 gamma=120.00
Space group P-3m1 (No. 164)
One atom of each set of equivalent atoms:
1 Pm 0.0000 0.0000 0.0000
2 Pm 0.3333 0.6667 0.6225
3 Zn 0.0000 0.0000 0.5000
4 Ga 0.3333 0.6667 0.0178
5 Cu 0.1820 0.3639 0.2770

Top 10 peaks for 2θ from 15° to 90°, low angle first:
d_spacing, Rel. int.
3.166, 31
2.805, 46
2.783, 20
2.415, 18
2.331, 100
2.100, 38
1.976, 15
1.918, 14
1.403, 20
1.379, 13